[1]
# ZnCdCu4Sn2S8
Calculated powder diffraction line list, λ = 1.5418 Å (Cu Kα). Input: the PBE geometry in the Materials Project.
No peak broadening, texture or thermal motion is included.

Main lines, sorted by position (5° ≤ 2θ ≤ 70°):
Position (°2θ)  I/Imax  (hkl)
22.64  3  1 1 0
27.90  100  1 1 2
32.23  12  2 0 0
32.53  6  0 0 4
36.22  3  2 0 2
46.23  20  2 2 0
46.45  38  2 0 4
54.86  29  3 1 2
55.25  14  1 1 6
57.66  5  2 2 4
67.44  6  4 0 0
68.13  3  0 0 8

Structural model:
Unit cell a=5.555 b=5.555 c=11.010 alpha=90.00 beta=90.00 gamma=90.00
Space group P-42m (No. 111)
Symmetry-distinct sites (fractional):
1 Zn 0.000 0.000 0.000 x1
2 Cd 0.500 0.500 0.500 x1
3 Cu 0.000 0.500 0.247 x4
4 Sn 0.000 0.000 0.500 x1
5 Sn 0.500 0.500 0.000 x1
6 S 0.244 0.244 0.132 x4
7 S 0.244 0.244 0.642 x4

[2]
# RbHoSe2
Calculated powder diffraction line list, λ = 1.5418 Å (Cu Kα). Input: the PBE geometry in the Materials Project.
No peak broadening, texture or thermal motion is included.

Main lines, sorted by position (5° ≤ 2θ ≤ 70°):
Position (°2θ)  I/Imax  (hkl)
11.07  32  0 0 3
25.43  8  0 1 2
28.56  100  1 0 4
35.89  13  1 0 7
38.82  34  0 1 8
42.77  36  1 1 0
44.32  7  1 1 3
48.60  8  0 1 11
52.24  18  0 2 4
59.12  10  2 0 8
64.12  10  1 1 12
69.73  15  2 1 4

Structural model:
Unit cell a=4.2283 b=4.2283 c=23.9845 alpha=90.00 beta=90.00 gamma=120.00
Space group R-3m (No. 166, hexagonal axes)
Symmetry-distinct sites (fractional):
1 Rb 0.0000 0.0000 0.0000 x3
2 Ho 0.0000 0.0000 0.5000 x3
3 Se 0.0000 0.0000 0.2315 x6

[3]
# Rb3Pr3P4S16
Calculated powder diffraction line list, λ = 1.5418 Å (Cu Kα). Input: the PBE geometry in the Materials Project.
No peak broadening, texture or thermal motion is included.

Main lines, sorted by position (5° ≤ 2θ ≤ 70°):
Position (°2θ)  I/Imax  (hkl)
9.92  16  0 1 1
10.60  100  0 1 -1
19.08  22  2 0 0
19.91  16  0 2 2
20.59  32  1 0 -3
21.16  17  -1 2 1
25.52  25  2 2 2
25.98  24  2 1 3
28.55  25  -2 1 3
30.34  25  2 -2 2
31.31  16  2 0 -4
32.98  17  -1 3 3

Structural model:
Unit cell a=9.432 b=10.779 c=14.819 alpha=85.71 beta=87.89 gamma=80.70
Space group P-1 (No. 2)
Symmetry-distinct sites (fractional):
1 Rb 0.118 0.198 0.255 x2
2 Rb 0.236 0.424 0.646 x2
3 Rb 0.292 0.921 0.915 x2
4 Pr 0.247 0.470 0.997 x2
5 Pr 0.255 0.722 0.263 x2
6 Pr 0.266 0.985 0.525 x2
7 P 0.028 0.282 0.904 x2
8 P 0.052 0.751 0.486 x2
9 P 0.492 0.434 0.180 x2
10 P 0.497 0.066 0.681 x2
11 S 0.003 0.675 0.962 x2
12 S 0.058 0.912 0.398 x2
13 S 0.064 0.869 0.124 x2
14 S 0.080 0.562 0.171 x2
15 S 0.127 0.597 0.417 x2
16 S 0.155 0.246 0.470 x2
17 S 0.178 0.754 0.596 x2
18 S 0.244 0.262 0.883 x2
19 S 0.280 0.083 0.701 x2
20 S 0.291 0.624 0.832 x2
21 S 0.392 0.296 0.133 x2
22 S 0.393 0.940 0.201 x2
23 S 0.424 0.475 0.307 x2
24 S 0.444 0.789 0.404 x2
25 S 0.445 0.600 0.095 x2
26 S 0.449 0.097 0.386 x2

[4]
# EuAl2Ge2
Calculated powder diffraction line list, λ = 1.5418 Å (Cu Kα). Input: the PBE geometry in the Materials Project.
No peak broadening, texture or thermal motion is included.

Main lines, sorted by position (5° ≤ 2θ ≤ 70°):
Position (°2θ)  I/Imax  (hkl)
12.32  24  0 0 1
27.20  100  0 1 1
34.88  68  0 1 2
37.55  10  0 0 3
42.50  47  1 1 0
45.15  23  1 0 3
51.19  17  2 0 1
56.10  17  2 0 2
57.98  16  1 1 3
63.73  8  0 2 3
68.34  10  1 1 4
68.65  14  1 2 1

Structural model:
Unit cell a=4.2544 b=4.2544 c=7.1860 alpha=90.00 beta=90.00 gamma=120.00
Space group P-3m1 (No. 164)
Symmetry-distinct sites (fractional):
1 Eu 0.0000 0.0000 0.0000 x1
2 Al 0.3333 0.6667 0.6301 x2
3 Ge 0.3333 0.6667 0.2639 x2

What did the fourth record say?
# EuAl2Ge2
Calculated powder diffraction line list, λ = 1.5418 Å (Cu Kα). Input: the PBE geometry in the Materials Project.
No peak broadening, texture or thermal motion is included.

Main lines, sorted by position (5° ≤ 2θ ≤ 70°):
Position (°2θ)  I/Imax  (hkl)
12.32  24  0 0 1
27.20  100  0 1 1
34.88  68  0 1 2
37.55  10  0 0 3
42.50  47  1 1 0
45.15  23  1 0 3
51.19  17  2 0 1
56.10  17  2 0 2
57.98  16  1 1 3
63.73  8  0 2 3
68.34  10  1 1 4
68.65  14  1 2 1

Structural model:
Unit cell a=4.2544 b=4.2544 c=7.1860 alpha=90.00 beta=90.00 gamma=120.00
Space group P-3m1 (No. 164)
Symmetry-distinct sites (fractional):
1 Eu 0.0000 0.0000 0.0000 x1
2 Al 0.3333 0.6667 0.6301 x2
3 Ge 0.3333 0.6667 0.2639 x2